Structure and simulated X-ray powder pattern of GeAu9 (a cell relaxed with PBE; a wavelength of 1.5418 Å).
Intensities are scaled so that the largest is 100.

Most intense lines, 10° ≤ 2θ ≤ 90°, sorted by position:
- 2.511 Å, rel. 32, hkl 0 1 14
- 2.401 Å, rel. 67, hkl 0 1 15
- 2.385 Å, rel. 100, hkl 1 1 0
- 2.146 Å, rel. 21, hkl 1 0 14
- 2.076 Å, rel. 44, hkl 1 0 15
- 2.065 Å, rel. 33, hkl 0 2 0
- 1.464 Å, rel. 29, hkl 1 2 15
- 1.248 Å, rel. 26, hkl 2 1 15

a = 2.9224 Å, b = 4.1310 Å, c = 44.2599 Å
α = 90.00°, β = 90.00°, γ = 90.00°
Space group Pmmn (No. 59, origin choice 2)
One atom of each set of equivalent atoms:
Ge 0.2500 0.2500 0.1834 [2 per cell]
Au 0.2500 0.2500 0.2465 [2 per cell]
Au 0.2500 0.2500 0.3145 [2 per cell]
Au 0.2500 0.2500 0.3821 [2 per cell]
Au 0.2500 0.2500 0.4494 [2 per cell]
Au 0.2500 0.2500 0.5167 [2 per cell]
Au 0.2500 0.2500 0.5839 [2 per cell]
Au 0.2500 0.2500 0.6514 [2 per cell]
Au 0.2500 0.2500 0.7191 [2 per cell]
Au 0.2500 0.2500 0.7903 [2 per cell]

Structure and simulated X-ray powder pattern of GeAu9 (a cell relaxed with PBE; a wavelength of 1.5418 Å).
Intensities are scaled so that the largest is 100.

Most intense lines, 10° ≤ 2θ ≤ 90°, sorted by position:
- 2.420 Å, rel. 100, hkl 1 0 13
- 2.359 Å, rel. 43, hkl 1 0 14
- 2.082 Å, rel. 47, hkl 1 1 0
- 1.486 Å, rel. 14, hkl 1 1 26
- 1.473 Å, rel. 16, hkl 2 0 0
- 1.458 Å, rel. 18, hkl 1 1 27
- 1.258 Å, rel. 26, hkl 2 1 13
- 1.249 Å, rel. 26, hkl 1 0 40

a = 2.9455 Å, b = 2.9455 Å, c = 55.1580 Å
α = 90.00°, β = 90.00°, γ = 90.00°
Space group P4/nmm (No. 129, origin choice 2)
One atom of each set of equivalent atoms:
Ge 0.2500 0.2500 0.1435 [2 per cell]
Au 0.2500 0.2500 0.2174 [2 per cell]
Au 0.2500 0.2500 0.2936 [2 per cell]
Au 0.2500 0.2500 0.3691 [2 per cell]
Au 0.2500 0.2500 0.4440 [2 per cell]
Au 0.2500 0.2500 0.5187 [2 per cell]
Au 0.2500 0.2500 0.5934 [2 per cell]
Au 0.2500 0.2500 0.6686 [2 per cell]
Au 0.2500 0.2500 0.7445 [2 per cell]
Au 0.2500 0.2500 0.8215 [2 per cell]

Structure and simulated X-ray powder pattern of GeAu3 (a cell relaxed with PBE; a wavelength of 1.5418 Å).
Intensities are scaled so that the largest is 100.

Most intense lines, 10° ≤ 2θ ≤ 90°, sorted by position:
- 2.560 Å, rel. 23, hkl 0 2 1
- 2.447 Å, rel. 41, hkl 2 0 0
- 2.269 Å, rel. 100, hkl 1 2 1
- 2.239 Å, rel. 47, hkl 1 0 2
- 1.462 Å, rel. 17, hkl 0 2 3
- 1.376 Å, rel. 21, hkl 3 2 1
- 1.255 Å, rel. 20, hkl 2 2 3
- 1.239 Å, rel. 15, hkl 1 4 2

a = 4.8949 Å, b = 5.9472 Å, c = 5.0348 Å
α = 90.00°, β = 90.00°, γ = 90.00°
Space group Pmmn (No. 59, origin choice 2)
One atom of each set of equivalent atoms:
Ge 0.2500 0.2500 0.1707 [2 per cell]
Au 0.2500 0.9997 0.6674 [4 per cell]
Au 0.2500 0.7500 0.1662 [2 per cell]

Structure and simulated X-ray powder pattern of GeAu15 (a cell relaxed with PBE; a wavelength of 1.5418 Å).
Intensities are scaled so that the largest is 100.

Most intense lines, 10° ≤ 2θ ≤ 90°, sorted by position:
- 2.511 Å, rel. 36, hkl 0 1 12
- 2.381 Å, rel. 100, hkl 2 1 0
- 2.374 Å, rel. 26, hkl 2 1 1
- 2.137 Å, rel. 23, hkl 2 0 12
- 2.073 Å, rel. 27, hkl 0 2 0
- 2.056 Å, rel. 30, hkl 2 0 13
- 1.460 Å, rel. 20, hkl 2 2 13
- 1.249 Å, rel. 15, hkl 2 3 0

a = 5.8074 Å, b = 4.1480 Å, c = 37.8637 Å
α = 90.00°, β = 90.02°, γ = 90.00°
Space group P2_1/m (No. 11)
One atom of each set of equivalent atoms:
Ge 0.1257 0.2500 0.2919 [2 per cell]
Au 0.1216 0.2500 0.7395 [2 per cell]
Au 0.1245 0.2500 0.8222 [2 per cell]
Au 0.1243 0.2500 0.9016 [2 per cell]
Au 0.1250 0.2500 0.0591 [2 per cell]
Au 0.1250 0.2500 0.1384 [2 per cell]
Au 0.1251 0.2500 0.2178 [2 per cell]
Au 0.1254 0.2500 0.9805 [2 per cell]
Au 0.3709 0.7500 0.2607 [2 per cell]
Au 0.3743 0.7500 0.0984 [2 per cell]
Au 0.3752 0.7500 0.0195 [2 per cell]
Au 0.3746 0.7500 0.1777 [2 per cell]
Au 0.3746 0.7500 0.7075 [2 per cell]
Au 0.3754 0.7500 0.7843 [2 per cell]
Au 0.3750 0.7500 0.8623 [2 per cell]
Au 0.3749 0.7500 0.9407 [2 per cell]

Structure and simulated X-ray powder pattern of GeAu8 (a cell relaxed with PBE; a wavelength of 1.5418 Å).
Intensities are scaled so that the largest is 100.

Most intense lines, 10° ≤ 2θ ≤ 90°, sorted by position:
- 2.595 Å, rel. 42, hkl 1 1 9
- 2.451 Å, rel. 100, hkl 1 1 10
- 2.372 Å, rel. 84, hkl 3 1 -3
- 2.332 Å, rel. 64, hkl 3 1 -4
- 2.316 Å, rel. 41, hkl 1 1 11
- 2.213 Å, rel. 32, hkl 2 0 -13
- 2.063 Å, rel. 57, hkl 0 2 0
- 2.001 Å, rel. 26, hkl 4 0 7

a = 8.9617 Å, b = 4.1301 Å, c = 32.6530 Å
α = 90.00°, β = 91.34°, γ = 90.00°
Space group C2/m (No. 12)
One atom of each set of equivalent atoms:
Ge 0.0567 0.0000 0.2562 [4 per cell]
Au 0.0501 0.0000 0.5441 [4 per cell]
Au 0.0505 0.5000 0.3968 [4 per cell]
Au 0.0552 0.5000 0.6959 [4 per cell]
Au 0.1485 0.0000 0.3378 [4 per cell]
Au 0.1490 0.0000 0.6338 [4 per cell]
Au 0.1505 0.5000 0.4852 [4 per cell]
Au 0.2492 0.5000 0.2735 [4 per cell]
Au 0.2493 0.5000 0.5745 [4 per cell]

Structure and simulated X-ray powder pattern of Ge5Au4 (a cell relaxed with PBE; a wavelength of 1.5418 Å).
Intensities are scaled so that the largest is 100.

Most intense lines, 10° ≤ 2θ ≤ 90°, sorted by position:
- 7.446 Å, rel. 51, hkl 0 0 1
- 4.001 Å, rel. 43, hkl 1 0 1
- 3.723 Å, rel. 45, hkl 0 0 2
- 2.571 Å, rel. 46, hkl 1 1 1
- 2.372 Å, rel. 46, hkl 2 0 0
- 2.260 Å, rel. 45, hkl 2 0 1
- 2.001 Å, rel. 100, hkl 2 0 2
- 1.464 Å, rel. 33, hkl 2 0 4

a = 5.4789 Å, b = 5.4789 Å, c = 7.4456 Å
α = 90.00°, β = 90.00°, γ = 120.00°
Space group P6/mmm (No. 191)
One atom of each set of equivalent atoms:
Ge 0.0000 0.0000 0.0000 [1 per cell]
Ge 0.3333 0.6667 0.3226 [4 per cell]
Au 0.0000 0.0000 0.5000 [1 per cell]
Au 0.0000 0.5000 0.0000 [3 per cell]

Structure and simulated X-ray powder pattern of GeAu15 (a cell relaxed with PBE; a wavelength of 1.5418 Å).
Intensities are scaled so that the largest is 100.

Most intense lines, 10° ≤ 2θ ≤ 90°, sorted by position:
- 2.411 Å, rel. 100, hkl 1 1 11
- 2.344 Å, rel. 28, hkl 1 1 12
- 2.184 Å, rel. 16, hkl 0 0 22
- 2.046 Å, rel. 21, hkl 2 0 0
- 2.041 Å, rel. 22, hkl 0 2 0
- 1.492 Å, rel. 20, hkl 2 0 22
- 1.445 Å, rel. 14, hkl 2 2 0
- 1.239 Å, rel. 13, hkl 1 3 11

a = 4.0927 Å, b = 4.0837 Å, c = 48.0474 Å
α = 90.00°, β = 90.00°, γ = 90.00°
Space group Pmma (No. 51)
One atom of each set of equivalent atoms:
Ge 0.2500 0.0000 0.1633 [2 per cell]
Au 0.2500 0.0000 0.2536 [2 per cell]
Au 0.2500 0.0000 0.3433 [2 per cell]
Au 0.2500 0.0000 0.4328 [2 per cell]
Au 0.2500 0.0000 0.5224 [2 per cell]
Au 0.2500 0.0000 0.6118 [2 per cell]
Au 0.2500 0.0000 0.7013 [2 per cell]
Au 0.2500 0.0000 0.7911 [2 per cell]
Au 0.2500 0.5000 0.2089 [2 per cell]
Au 0.2500 0.5000 0.2987 [2 per cell]
Au 0.2500 0.5000 0.3882 [2 per cell]
Au 0.2500 0.5000 0.4776 [2 per cell]
Au 0.2500 0.5000 0.5671 [2 per cell]
Au 0.2500 0.5000 0.6564 [2 per cell]
Au 0.2500 0.5000 0.7455 [2 per cell]
Au 0.2500 0.5000 0.8360 [2 per cell]

Structure and simulated X-ray powder pattern of GeAu15 (a cell relaxed with PBE; a wavelength of 1.5418 Å).
Intensities are scaled so that the largest is 100.

Most intense lines, 10° ≤ 2θ ≤ 90°, sorted by position:
- 2.509 Å, rel. 28, hkl 2 0 12
- 2.381 Å, rel. 100, hkl 2 1 0
- 2.137 Å, rel. 18, hkl 0 1 12
- 2.073 Å, rel. 22, hkl 4 0 0
- 2.057 Å, rel. 24, hkl 0 1 13
- 1.460 Å, rel. 16, hkl 4 1 13
- 1.249 Å, rel. 13, hkl 6 1 0
- 1.241 Å, rel. 13, hkl 2 2 13

a = 8.2956 Å, b = 2.9092 Å, c = 37.8105 Å
α = 90.00°, β = 90.03°, γ = 90.00°
Space group P2_1/m (No. 11)
One atom of each set of equivalent atoms:
Ge 0.1250 0.2500 0.2080 [2 per cell]
Au 0.1181 0.2500 0.7604 [2 per cell]
Au 0.1249 0.2500 0.2826 [2 per cell]
Au 0.1250 0.2500 0.3616 [2 per cell]
Au 0.1249 0.2500 0.4406 [2 per cell]
Au 0.1249 0.2500 0.5195 [2 per cell]
Au 0.1247 0.2500 0.5984 [2 per cell]
Au 0.1250 0.2500 0.6778 [2 per cell]
Au 0.3682 0.7500 0.2397 [2 per cell]
Au 0.3750 0.7500 0.3221 [2 per cell]
Au 0.3747 0.7500 0.4014 [2 per cell]
Au 0.3749 0.7500 0.4803 [2 per cell]
Au 0.3749 0.7500 0.5590 [2 per cell]
Au 0.3750 0.7500 0.6377 [2 per cell]
Au 0.3748 0.7500 0.7159 [2 per cell]
Au 0.3751 0.7500 0.7925 [2 per cell]